No. 1
Calculated powder diffraction line list of Li2Mn4O9 for Cu Kα, from a crystal structure in the Materials Project, relaxed with PBE+U.
Neutral-atom scattering factors, no anomalous dispersion.

Cell and atoms:
```
Li2Mn4O9
1.0
4.9390 0.0000 0.0000
-2.4695 4.2773 0.0000
0.0000 0.0000 13.5869
Li Mn O
4 8 18
direct
0.0000 0.0000 0.1482
0.0000 0.0000 0.3518
0.0000 0.0000 0.6482
0.0000 0.0000 0.8518
0.3333 0.6667 0.0147
0.3333 0.6667 0.3155
0.3333 0.6667 0.5147
0.3333 0.6667 0.8155
0.6667 0.3333 0.1845
0.6667 0.3333 0.4853
0.6667 0.3333 0.6845
0.6667 0.3333 0.9853
0.0000 0.3312 0.2500
0.0000 0.6688 0.7500
0.0311 0.3745 0.9202
0.0311 0.6566 0.4202
0.3312 0.0000 0.2500
0.3312 0.3312 0.7500
0.3434 0.3745 0.4202
0.3434 0.9689 0.9202
0.3745 0.0311 0.5798
0.3745 0.3434 0.0798
0.6255 0.6566 0.9202
0.6255 0.9689 0.4202
0.6566 0.0311 0.0798
0.6566 0.6255 0.5798
0.6688 0.0000 0.7500
0.6688 0.6688 0.2500
0.9689 0.3434 0.5798
0.9689 0.6255 0.0798
```

Peak list (8 most intense, 10 to 80 degrees two-theta, in order of falling intensity)
(1 0 0), 20.77°, I 100; (1 0 4), 33.69°, I 81; (1 1 6), 55.02°, I 65; (0 1 2), 24.59°, I 49; (1 1 0), 36.38°, I 49; (1 1 3), 41.66°, I 35; (3 0 0), 65.46°, I 33; (0 2 4), 50.42°, I 33

No. 2
Calculated powder diffraction line list of Li9Mn2Co5O16 for Cu Kα, from a crystal structure in the Materials Project, relaxed with PBE+U.
Neutral-atom scattering factors, no anomalous dispersion.

Cell and atoms:
```
Li9Mn2Co5O16
1.0
5.0683 0.0000 0.0000
-0.1040 5.9455 0.0000
-1.9459 -2.6610 9.5119
Li Mn Co O
9 2 5 16
direct
0.0000 0.0000 0.0000
0.0000 0.0000 0.5000
0.0000 0.5000 0.0000
0.2419 0.8799 0.2529
0.2470 0.3823 0.2580
0.4980 0.7514 0.5022
0.5020 0.2486 0.4978
0.7530 0.6177 0.7420
0.7581 0.1201 0.7471
0.4938 0.2527 0.0003
0.5062 0.7473 0.9997
0.0000 0.5000 0.5000
0.2450 0.3623 0.7391
0.2536 0.8719 0.7450
0.7464 0.1281 0.2550
0.7550 0.6377 0.2609
0.0857 0.2159 0.3795
0.1020 0.6716 0.3776
0.1424 0.2009 0.8816
0.1587 0.6952 0.8691
0.3568 0.5443 0.6156
0.3711 0.0570 0.6398
0.3941 0.5578 0.1206
0.3974 0.0536 0.1192
0.6026 0.9464 0.8808
0.6059 0.4422 0.8794
0.6289 0.9430 0.3602
0.6432 0.4557 0.3844
0.8413 0.3048 0.1309
0.8576 0.7991 0.1184
0.8980 0.3284 0.6224
0.9143 0.7841 0.6205
```

Peak list (8 most intense, 10 to 80 degrees two-theta, in order of falling intensity)
(1 0 -1), 18.40°, I 100; (-1 2 2), 42.29°, I 30; (1 2 -4), 43.96°, I 27; (2 0 2), 44.53°, I 26; (0 2 1), 35.08°, I 17; (0 2 -3), 36.17°, I 13; (1 0 3), 36.63°, I 12; (2 -2 1), 47.53°, I 9

No. 3
Calculated powder diffraction line list of SrCaNiP2O8 for Cu Kα, from a crystal structure in the Materials Project, relaxed with PBE+U.
Neutral-atom scattering factors, no anomalous dispersion.

Cell and atoms:
```
SrCaNiP2O8
1.0
5.7202 0.0000 0.0000
-1.0269 6.8514 0.0000
-1.9485 -3.4668 8.5702
Sr Ca Ni P O
2 2 2 4 16
direct
0.2367 0.1917 0.4398
0.7633 0.8083 0.5602
0.4956 0.4193 0.1611
0.5044 0.5807 0.8389
0.1527 0.8504 0.0595
0.8473 0.1496 0.9405
0.1039 0.5827 0.2720
0.3411 0.0308 0.7996
0.6589 0.9692 0.2004
0.8961 0.4173 0.7280
0.0738 0.4096 0.1084
0.1238 0.4509 0.6680
0.1384 0.9667 0.8763
0.1520 0.8011 0.2586
0.2261 0.0028 0.6311
0.3375 0.5599 0.3791
0.4593 0.1034 0.1963
0.4927 0.2619 0.9060
0.5073 0.7381 0.0940
0.5407 0.8966 0.8037
0.6625 0.4401 0.6209
0.7739 0.9972 0.3689
0.8480 0.1989 0.7414
0.8616 0.0333 0.1237
0.8762 0.5491 0.3320
0.9262 0.5904 0.8916
```

Peak list (8 most intense, 10 to 80 degrees two-theta, in order of falling intensity)
(0 2 -2), 28.00°, I 100; (1 1 1), 29.81°, I 62; (-1 2 1), 32.92°, I 49; (1 0 -3), 31.12°, I 45; (2 0 -1), 31.67°, I 34; (2 -1 0), 32.62°, I 31; (1 3 -1), 46.12°, I 26; (-1 1 1), 21.86°, I 26

No. 4
Calculated powder diffraction line list of MnC2S2N2O12 for Cu Kα, from a crystal structure in the Materials Project, relaxed with PBE+U.
Neutral-atom scattering factors, no anomalous dispersion.

Cell and atoms:
```
MnC2S2N2O12
1.0
6.9073 0.0000 0.0000
1.4561 6.9876 0.0000
0.6615 1.6545 7.2426
Mn C S N O
1 2 2 2 12
direct
0.0000 0.0000 0.0000
0.4920 0.4356 0.5831
0.5080 0.5644 0.4169
0.2124 0.1930 0.2400
0.7876 0.8070 0.7600
0.4792 0.3251 0.7255
0.5208 0.6749 0.2745
0.0367 0.3062 0.3230
0.0762 0.8126 0.2066
0.1721 0.1708 0.0491
0.1862 0.9294 0.8348
0.2325 0.9944 0.3713
0.3878 0.2785 0.2222
0.6122 0.7215 0.7778
0.7675 0.0056 0.6287
0.8138 0.0706 0.1652
0.8279 0.8292 0.9509
0.9238 0.1874 0.7934
0.9633 0.6938 0.6770
```

Peak list (8 most intense, 10 to 80 degrees two-theta, in order of falling intensity)
(1 0 -1), 18.34°, I 100; (1 -1 0), 20.19°, I 90; (0 1 0), 13.00°, I 77; (0 1 -1), 19.78°, I 65; (1 0 0), 13.10°, I 41; (1 1 2), 26.74°, I 31; (-2 1 1), 33.39°, I 28; (1 2 1), 26.88°, I 27

No. 5
Calculated powder diffraction line list of Li5Fe8B8O24 for Cu Kα, from a crystal structure in the Materials Project, relaxed with PBE+U.
Neutral-atom scattering factors, no anomalous dispersion.

Cell and atoms:
```
Li5Fe8B8O24
1.0
5.2185 0.0000 0.0000
-0.0039 9.1176 0.0000
-2.4623 -4.3097 10.1856
Li Fe B O
5 8 8 24
direct
0.0000 0.0000 0.0000
0.0499 0.0304 0.7363
0.3216 0.2743 0.2551
0.5083 0.5044 0.9998
0.7840 0.7459 0.4979
0.0422 0.3565 0.7146
0.2609 0.5620 0.4753
0.2879 0.9194 0.2203
0.5062 0.1535 0.9686
0.5503 0.8417 0.7279
0.7693 0.0661 0.4662
0.7939 0.4436 0.2178
0.9850 0.6479 0.9680
0.0488 0.6814 0.7146
0.2571 0.8844 0.4665
0.2883 0.5963 0.2151
0.5004 0.8171 0.9768
0.5358 0.1827 0.7161
0.7543 0.4037 0.4716
0.7842 0.1013 0.2150
0.9930 0.3073 0.9577
0.0086 0.9009 0.4868
0.0447 0.0834 0.2025
0.1043 0.1676 0.9503
0.1117 0.4169 0.9213
0.1335 0.7051 0.1800
0.1889 0.4970 0.2680
0.2623 0.8496 0.0189
0.2769 0.6516 0.6669
0.3714 0.9744 0.4132
0.3893 0.3040 0.7104
0.4125 0.7719 0.5000
0.4414 0.0662 0.7520
0.4841 0.3945 0.4511
0.5344 0.5847 0.1937
0.6101 0.9259 0.9371
0.6157 0.6830 0.9723
0.6440 0.2168 0.1839
0.6592 0.0051 0.2590
0.7598 0.3408 0.0008
0.7889 0.1732 0.6874
0.8769 0.5168 0.4390
0.9013 0.3038 0.5182
0.9191 0.8119 0.7105
0.9602 0.5782 0.7631
```

Peak list (8 most intense, 10 to 80 degrees two-theta, in order of falling intensity)
(0 0 4), 35.25°, I 100; (0 2 -2), 21.51°, I 92; (1 -1 0), 19.60°, I 84; (1 -3 1), 34.15°, I 64; (1 1 1), 25.97°, I 64; (1 1 -2), 21.68°, I 45; (2 0 -1), 34.37°, I 34; (2 2 -1), 40.63°, I 32